Starting from a cell relaxed with PBE+U, the PXRD pattern of LiV4Ge4O16 was calculated for a wavelength of 1.5418 Å.
Kinematic intensities with the Lorentz-polarization factor, no thermal factor.

Main lines, most intense first (2θ = 10–90°):
| two_theta | I/Imax | index |
| --- | --- | --- |
| 28.57 | 100 | -1 1 1 |
| 28.70 | 99 | 1 1 1 |
| 36.43 | 56 | 0 1 -4 |
| 30.86 | 35 | 1 0 3 |
| 30.62 | 34 | 1 0 -3 |
| 38.01 | 24 | 0 2 0 |
| 49.63 | 22 | 1 2 -3 |
| 55.48 | 21 | -2 1 4 |

Atomic structure:
Lattice parameters (Å, degrees): 4.436 4.735 11.556 90.05 90.43 90.27
Space group P1 (No. 1)
Asymmetric unit:
Li 0.000 0.000 0.000 x1
V 0.001 0.993 0.493 x1
V 0.004 0.494 0.631 x1
V 0.498 0.504 0.129 x1
V 0.501 0.980 0.997 x1
Ge 0.004 0.489 0.878 x1
Ge 0.498 0.493 0.383 x1
Ge 0.507 0.995 0.741 x1
Ge 0.997 0.999 0.245 x1
O 0.226 0.825 0.371 x1
O 0.234 0.826 0.126 x1
O 0.235 0.325 0.753 x1
O 0.249 0.325 0.997 x1
O 0.253 0.321 0.501 x1
O 0.253 0.821 0.625 x1
O 0.268 0.825 0.871 x1
O 0.275 0.324 0.255 x1
O 0.722 0.665 0.255 x1
O 0.741 0.158 0.870 x1
O 0.750 0.667 0.500 x1
O 0.753 0.167 0.624 x1
O 0.755 0.159 0.124 x1
O 0.763 0.656 0.998 x1
O 0.773 0.164 0.371 x1
O 0.773 0.660 0.753 x1